Entry 1:
Diffraction record for LiFeO2. The powder diffractogram is calculated, not measured: it uses a crystal structure in Alexandria, relaxed with GGA+U and Cu Kα, 1.54184 Å.
Neutral-atom scattering factors, no anomalous dispersion.

Structural model:
Unit cell a=2.9666 b=2.9666 c=10.0543 alpha=90.00 beta=90.00 gamma=120.00
Space group P6_3mc (No. 186)
One atom of each set of equivalent atoms:
Li  0.3333  0.6667  0.0000 (multiplicity 2)
Fe  0.3333  0.6667  0.2600 (multiplicity 2)
O  0.0000  0.0000  0.3740 (multiplicity 2)
O  0.3333  0.6667  0.6477 (multiplicity 2)

Principal peaks in the range 2θ = 10–90°, by angle:
d_spacing  2θ/deg  I_rel  (hkl)
5.027  17.64  100  0 0 2
2.489  36.08  44  1 0 1
2.288  39.39  26  1 0 2
2.039  44.43  55  1 0 3
1.797  50.82  15  1 0 4
1.584  58.27  23  1 0 5
1.483  62.63  20  1 1 0
1.423  65.62  14  1 1 2


Entry 2:
Diffraction record for Li8FeO6. The powder diffractogram is calculated, not measured: it uses a crystal structure in Alexandria, relaxed with GGA+U and Cu Kα, 1.54184 Å.
Neutral-atom scattering factors, no anomalous dispersion.

Structural model:
Unit cell a=5.5812 b=5.5812 c=10.9121 alpha=90.00 beta=90.00 gamma=120.00
Space group P6_3cm (No. 185)
One atom of each set of equivalent atoms:
Li  0.0000  0.3082  0.0000 (multiplicity 6)
Li  0.0000  0.3904  0.6429 (multiplicity 6)
Li  0.3333  0.6667  0.3606 (multiplicity 4)
Fe  0.0000  0.0000  0.2748 (multiplicity 2)
O  0.0000  0.0000  0.0987 (multiplicity 2)
O  0.0000  0.3177  0.8203 (multiplicity 6)
O  0.3333  0.6667  0.0530 (multiplicity 4)

Principal peaks in the range 2θ = 10–90°, by angle:
d_spacing  2θ/deg  I_rel  (hkl)
5.456  16.25  25  0 0 2
4.833  18.36  76  1 0 0
3.618  24.61  100  1 0 2
2.791  32.07  39  1 1 0
2.728  32.83  30  0 0 4
2.704  33.14  32  1 1 1
2.210  40.83  26  2 0 2
1.611  57.17  33  3 0 0


Entry 3:
Diffraction record for Li5Fe4O8. The powder diffractogram is calculated, not measured: it uses a crystal structure in Alexandria, relaxed with GGA+U and Cu Kα, 1.54184 Å.
Neutral-atom scattering factors, no anomalous dispersion.

Structural model:
Unit cell a=6.0564 b=6.0564 c=14.8984 alpha=90.00 beta=90.00 gamma=120.00
Space group R3m (No. 160, hexagonal axes)
One atom of each set of equivalent atoms:
Li  0.0000  0.0000  0.0000 (multiplicity 3)
Li  0.0000  0.0000  0.3664 (multiplicity 3)
Li  0.0585  0.5293  0.3713 (multiplicity 9)
Fe  0.0000  0.0000  0.8535 (multiplicity 3)
Fe  0.0001  0.5000  0.8662 (multiplicity 9)
O  0.0000  0.0000  0.1236 (multiplicity 3)
O  0.0000  0.0000  0.6105 (multiplicity 3)
O  0.0148  0.5074  0.1207 (multiplicity 9)
O  0.1680  0.3360  0.9415 (multiplicity 9)

Principal peaks in the range 2θ = 10–90°, by angle:
d_spacing  2θ/deg  I_rel  (hkl)
4.966  17.86  100  0 0 3
2.583  34.73  50  0 2 1
2.144  42.14  84  0 2 4
1.969  46.11  17  2 0 5
1.652  55.62  16  0 2 7
1.518  61.02  23  2 0 8
1.514  61.22  24  2 2 0
1.448  64.32  16  2 2 3